# HfW2
Simulated XRD peak list, Cu Kα (λ = 1.5418 Å). Input: a crystal structure in the Materials Project, relaxed with GGA-PBE.

Crystal structure
a b c (Å): 5.3930 5.3930 5.3930
angles (deg): 60.00 60.00 60.00
Fractional positions:
Hf 0.1250 0.1250 0.1250
Hf 0.8750 0.8750 0.8750
W 0.0000 0.5000 0.5000
W 0.5000 0.0000 0.5000
W 0.5000 0.5000 0.0000
W 0.5000 0.5000 0.5000

Top 6 peaks for 2θ = 10–90°, low angle first:
Position (°2θ), I_rel
33.2, 26
39.2, 100
41.0, 41
63.4, 33
69.7, 29
84.2, 16

---

# KF2
Simulated XRD peak list, Cu Kα (λ = 1.5418 Å). Input: a crystal structure in the Materials Project, relaxed with GGA-PBE.

Crystal structure
a b c (Å): 5.0523 5.0523 5.0547
angles (deg): 90.00 90.00 90.00
Fractional positions:
K 0.0000 0.0000 0.0000
K 0.5000 0.5000 0.5000
F 0.1374 0.1374 0.5000
F 0.3626 0.6374 0.0000
F 0.6374 0.3626 0.0000
F 0.8626 0.8626 0.5000

Top 6 peaks for 2θ = 10–90°, low angle first:
Position (°2θ), I_rel
24.9, 100
30.6, 16
35.5, 43
43.9, 72
57.7, 24
80.7, 23

---

# Hf2Hg
Simulated XRD peak list, Cu Kα (λ = 1.5418 Å). Input: a crystal structure in the Materials Project, relaxed with GGA-PBE.

Crystal structure
a b c (Å): 3.3743 3.3743 11.5786
angles (deg): 90.00 90.00 90.00
Fractional positions:
Hf 0.0000 0.0000 0.1660
Hf 0.0000 0.0000 0.8340
Hf 0.5000 0.5000 0.3340
Hf 0.5000 0.5000 0.6660
Hg 0.0000 0.0000 0.5000
Hg 0.5000 0.5000 0.0000

Top 6 peaks for 2θ = 10–90°, low angle first:
Position (°2θ), I_rel
35.3, 100
37.7, 42
54.4, 15
61.8, 20
66.5, 32
74.7, 12

---

# Al5O8
Simulated XRD peak list, Cu Kα (λ = 1.5418 Å). Input: a crystal structure in the Materials Project, relaxed with GGA-PBE.

Crystal structure
a b c (Å): 5.6052 5.6052 8.9717
angles (deg): 90.00 90.00 120.00
Fractional positions:
Al 0.1616 0.3232 0.0000
Al 0.1616 0.8384 0.0000
Al 0.3232 0.1616 0.5000
Al 0.3333 0.6667 0.2791
Al 0.3333 0.6667 0.6879
Al 0.6667 0.3333 0.1879
Al 0.6667 0.3333 0.7791
Al 0.6768 0.8384 0.0000
Al 0.8384 0.1616 0.5000
Al 0.8384 0.6768 0.5000
O 0.0000 0.0000 0.1019
O 0.0000 0.0000 0.6019
O 0.0252 0.5126 0.1305
O 0.1701 0.3402 0.3893
O 0.1701 0.8299 0.3893
O 0.3333 0.6667 0.8909
O 0.3402 0.1701 0.8893
O 0.4874 0.5126 0.1305
O 0.4874 0.9748 0.1305
O 0.5126 0.0252 0.6305
O 0.5126 0.4874 0.6305
O 0.6598 0.8299 0.3893
O 0.6667 0.3333 0.3909
O 0.8299 0.1701 0.8893
O 0.8299 0.6598 0.8893
O 0.9748 0.4874 0.6305

Top 6 peaks for 2θ = 10–90°, low angle first:
Position (°2θ), I_rel
27.1, 87
35.2, 58
37.9, 73
42.3, 100
64.6, 84
66.8, 84

---

# FeCoSn
Simulated XRD peak list, Cu Kα (λ = 1.5418 Å). Input: a crystal structure in the Materials Project, relaxed with GGA-PBE.

Crystal structure
a b c (Å): 4.0544 4.0544 2.9607
angles (deg): 90.00 90.00 120.00
Fractional positions:
Fe 0.0000 0.0000 0.0000
Co 0.6667 0.3333 0.0000
Sn 0.3333 0.6667 0.5000

Top 6 peaks for 2θ = 10–90°, low angle first:
Position (°2θ), I_rel
25.4, 17
39.8, 100
44.7, 63
61.4, 28
79.1, 27
80.3, 22

---

# NaLiY2F8
Simulated XRD peak list, Cu Kα (λ = 1.5418 Å). Input: a crystal structure in the Materials Project, relaxed with GGA-PBE.

Crystal structure
a b c (Å): 6.7625 6.7625 7.1276
angles (deg): 90.00 90.00 76.80
Fractional positions:
Na 0.1580 0.8420 0.7500
Na 0.8420 0.1580 0.2500
Li 0.5000 0.5000 0.0000
Li 0.5000 0.5000 0.5000
Y 0.0500 0.5767 0.2500
Y 0.4233 0.9500 0.2500
Y 0.5767 0.0500 0.7500
Y 0.9500 0.4233 0.7500
F 0.1088 0.8912 0.2500
F 0.1608 0.5640 0.5508
F 0.1608 0.5640 0.9492
F 0.1913 0.2458 0.2500
F 0.2458 0.1913 0.7500
F 0.4121 0.5879 0.2500
F 0.4360 0.8392 0.5508
F 0.4360 0.8392 0.9492
F 0.5640 0.1608 0.0508
F 0.5640 0.1608 0.4492
F 0.5879 0.4121 0.7500
F 0.7542 0.8087 0.2500
F 0.8087 0.7542 0.7500
F 0.8392 0.4360 0.0508
F 0.8392 0.4360 0.4492
F 0.8912 0.1088 0.7500

Top 6 peaks for 2θ = 10–90°, low angle first:
Position (°2θ), I_rel
16.7, 50
21.2, 100
25.0, 79
30.2, 98
43.1, 68
47.4, 51

---

# ThInNi
Simulated XRD peak list, Cu Kα (λ = 1.5418 Å). Input: a crystal structure in the Materials Project, relaxed with GGA-PBE.

Crystal structure
a b c (Å): 7.3975 7.3975 4.1361
angles (deg): 90.00 90.00 120.00
Fractional positions:
Th 0.0000 0.4166 0.0000
Th 0.4166 0.0000 0.0000
Th 0.5834 0.5834 0.0000
In 0.0000 0.7548 0.5000
In 0.2452 0.2452 0.5000
In 0.7548 0.0000 0.5000
Ni 0.0000 0.0000 0.0000
Ni 0.3333 0.6667 0.5000
Ni 0.6667 0.3333 0.5000

Top 6 peaks for 2θ = 10–90°, low angle first:
Position (°2θ), I_rel
32.5, 100
35.4, 82
37.1, 51
43.8, 23
56.4, 35
58.7, 27